The following is a simulated PXRD pattern of K4Na2FeH3F12. It was derived from a DFT-relaxed cell (GGA+U, Alexandria), using CuKα.
Neutral-atom scattering factors, no anomalous dispersion.

Principal peaks in the range 5 to 70 degrees two-theta, most intense first:
42.64°, d 2.121, rel. 100; 36.24°, d 2.479, rel. 62; 42.03°, d 2.150, rel. 61; 28.74°, d 3.107, rel. 54; 30.41°, d 2.940, rel. 51; 29.44°, d 3.034, rel. 40; 10.29°, d 8.600, rel. 37; 23.90°, d 3.723, rel. 29; 59.51°, d 1.553, rel. 25; 43.38°, d 2.086, rel. 24

Crystal structure
a b c (Å): 5.9480 6.0678 8.6260
angles (deg): 90.00 94.43 90.00
Space group P2 (No. 3)
Symmetry-distinct sites (fractional):
K: 0.0261 0.0000 0.2297 x2
K: 0.4201 0.5201 0.7344 x2
Na: 0.0000 0.5007 0.0000 x1
Na: 0.5000 0.0333 0.5000 x1
Fe: 0.5000 0.0046 0.0000 x1
H: 0.0000 0.7949 0.5000 x1
H: 0.1434 0.4139 0.3657 x2
F: 0.0398 0.4953 0.2612 x2
F: 0.1933 0.8097 0.5186 x2
F: 0.2568 0.3203 0.4549 x2
F: 0.2642 0.7758 0.9837 x2
F: 0.2646 0.2304 0.9815 x2
F: 0.4917 0.0013 0.2277 x2

The following is a simulated PXRD pattern of Tb4Cr6O19. It was derived from a DFT-relaxed cell (GGA+U, Alexandria), using CuKα.
Neutral-atom scattering factors, no anomalous dispersion.

Principal peaks in the range 5 to 70 degrees two-theta, most intense first:
25.31°, d 3.518, rel. 100; 44.61°, d 2.031, rel. 64; 32.86°, d 2.725, rel. 52; 39.11°, d 2.303, rel. 24; 58.68°, d 1.573, rel. 23; 64.92°, d 1.436, rel. 23; 51.98°, d 1.759, rel. 19; 54.28°, d 1.690, rel. 17; 36.10°, d 2.488, rel. 17; 62.88°, d 1.478, rel. 9

Crystal structure
a b c (Å): 8.6180 8.6180 8.6180
angles (deg): 90.00 90.00 90.00
Space group I23 (No. 197)
Symmetry-distinct sites (fractional):
Tb: 0.1604 0.1604 0.1604 x8
Cr: 0.0000 0.1635 0.5000 x12
O: 0.0000 0.0000 0.0000 x2
O: 0.0000 0.0000 0.3505 x12
O: 0.0413 0.2853 0.6847 x24